[1]
# NdGa2NiPd
Theoretical powder diffraction line list, Cu Kα. Input: DFT lattice parameters and positions (PBE).
Lines closer than 0.1° are merged.

The 8 most intense peaks (2θ = 10–90°), in order of falling intensity:
| 2θ (°) | I (rel.) |
| --- | --- |
| 34.9 | 100 |
| 42.9 | 52 |
| 33.9 | 44 |
| 73.4 | 22 |
| 55.8 | 21 |
| 49.6 | 19 |
| 62.3 | 17 |
| 67.7 | 15 |

Structure:
```
data_NdGa2NiPd
_cell_length_a 4.2149
_cell_length_b 4.2149
_cell_length_c 10.2035
_cell_angle_alpha 90.00
_cell_angle_beta 90.00
_cell_angle_gamma 90.00
_symmetry_space_group_name_H-M 'P 4/n m m'
_symmetry_Int_Tables_number 129
loop_
_symmetry_equiv_pos_as_xyz
'x,y,z'
'-x,-y,-z'
'-y+1/2,x,z'
'y+1/2,-x,-z'
'-x+1/2,-y+1/2,z'
'x+1/2,y+1/2,-z'
'y,-x+1/2,z'
'-y,x+1/2,-z'
'x+1/2,-y,-z'
'-x+1/2,y,z'
'-y,-x,-z'
'y,x,z'
'-x,y+1/2,-z'
'x,-y+1/2,z'
'y+1/2,x+1/2,-z'
'-y+1/2,-x+1/2,z'
loop_
_atom_site_label
_atom_site_type_symbol
_atom_site_fract_x
_atom_site_fract_y
_atom_site_fract_z
_atom_site_occupancy
Nd1 Nd 0.2500 0.2500 0.2378 1
Ga1 Ga 0.2500 0.2500 0.6450 1
Ga2 Ga 0.2500 0.7500 0.0000 1
Ni1 Ni 0.2500 0.2500 0.8770 1
Pd1 Pd 0.2500 0.7500 0.5000 1
```



[2]
# Ga4Ni4Hg3
Theoretical powder diffraction line list, Cu Kα. Input: DFT lattice parameters and positions (PBE).
Lines closer than 0.1° are merged.

The 8 most intense peaks (2θ = 10–90°), in order of falling intensity:
| 2θ (°) | I (rel.) |
| --- | --- |
| 34.9 | 100 |
| 39.1 | 41 |
| 24.5 | 29 |
| 62.5 | 26 |
| 56.6 | 26 |
| 30.1 | 25 |
| 46.7 | 20 |
| 53.4 | 18 |

Structure:
```
data_Ga4Ni4Hg3
_cell_length_a 7.2777
_cell_length_b 7.2777
_cell_length_c 7.2777
_cell_angle_alpha 90.00
_cell_angle_beta 90.00
_cell_angle_gamma 90.00
_symmetry_space_group_name_H-M 'I -4 3 m'
_symmetry_Int_Tables_number 217
_symmetry_space_group_name_Hall 'I -4 2 3'
loop_
_atom_site_label
_atom_site_type_symbol
_atom_site_fract_x
_atom_site_fract_y
_atom_site_fract_z
_atom_site_occupancy
Ga1 Ga 0.1954 0.1954 0.1954 1
Ni1 Ni 0.1227 0.1227 0.8773 1
Hg1 Hg 0.0000 0.0000 0.5000 1
```



[3]
# Tm4O5
Theoretical powder diffraction line list, Cu Kα. Input: DFT lattice parameters and positions (PBE).
Lines closer than 0.1° are merged.

The 8 most intense peaks (2θ = 10–90°), in order of falling intensity:
| 2θ (°) | I (rel.) |
| --- | --- |
| 30.5 | 100 |
| 32.4 | 39 |
| 56.6 | 36 |
| 53.1 | 27 |
| 46.4 | 21 |
| 63.6 | 12 |
| 86.4 | 11 |
| 40.9 | 11 |

Structure:
```
data_Tm4O5
_cell_length_a 3.9100
_cell_length_b 3.9100
_cell_length_c 8.8357
_cell_angle_alpha 90.00
_cell_angle_beta 90.00
_cell_angle_gamma 90.00
_symmetry_space_group_name_H-M 'P 4/m m m'
_symmetry_Int_Tables_number 123
_symmetry_space_group_name_Hall '-P 4 2'
loop_
_atom_site_label
_atom_site_type_symbol
_atom_site_fract_x
_atom_site_fract_y
_atom_site_fract_z
_atom_site_occupancy
Tm1 Tm 0.0000 0.0000 0.0000 1
Tm2 Tm 0.0000 0.0000 0.5000 1
Tm3 Tm 0.5000 0.5000 0.2430 1
O1 O 0.0000 0.5000 0.1484 1
O2 O 0.5000 0.5000 0.5000 1
```



[4]
# DyHo2Co3Ni6
Theoretical powder diffraction line list, Cu Kα. Input: DFT lattice parameters and positions (PBE).
Lines closer than 0.1° are merged.

The 8 most intense peaks (2θ = 10–90°), in order of falling intensity:
| 2θ (°) | I (rel.) |
| --- | --- |
| 42.9 | 100 |
| 36.5 | 51 |
| 33.2 | 50 |
| 36.3 | 40 |
| 42.5 | 39 |
| 77.5 | 20 |
| 70.1 | 20 |
| 63.6 | 16 |

Structure:
```
data_DyHo2Co3Ni6
_cell_length_a 4.9284
_cell_length_b 4.9284
_cell_length_c 24.3467
_cell_angle_alpha 90.00
_cell_angle_beta 90.00
_cell_angle_gamma 120.00
_symmetry_space_group_name_H-M 'R -3 m'
_symmetry_Int_Tables_number 166
_symmetry_space_group_name_Hall '-R 3 2"'
loop_
_atom_site_label
_atom_site_type_symbol
_atom_site_fract_x
_atom_site_fract_y
_atom_site_fract_z
_atom_site_occupancy
Dy1 Dy 0.0000 0.0000 0.0000 1
Ho1 Ho 0.0000 0.0000 0.1392 1
Co1 Co 0.0000 0.0000 0.3331 1
Co2 Co 0.0000 0.0000 0.5000 1
Ni1 Ni 0.0010 0.5005 0.0819 1
```



[5]
# KTmSeO
Theoretical powder diffraction line list, Cu Kα. Input: DFT lattice parameters and positions (PBE).
Lines closer than 0.1° are merged.

The 8 most intense peaks (2θ = 10–90°), in order of falling intensity:
| 2θ (°) | I (rel.) |
| --- | --- |
| 32.3 | 100 |
| 29.9 | 84 |
| 44.7 | 76 |
| 29.8 | 76 |
| 25.1 | 68 |
| 25.0 | 64 |
| 35.9 | 60 |
| 36.1 | 52 |

Structure:
```
data_KTmSeO
_cell_length_a 5.7305
_cell_length_b 5.7293
_cell_length_c 11.4352
_cell_angle_alpha 90.00
_cell_angle_beta 104.08
_cell_angle_gamma 90.00
_symmetry_space_group_name_H-M 'C 1 2 1'
_symmetry_Int_Tables_number 5
loop_
_symmetry_equiv_pos_as_xyz
'x,y,z'
'-x,y,-z'
'x+1/2,y+1/2,z'
'-x+1/2,y+1/2,-z'
loop_
_atom_site_label
_atom_site_type_symbol
_atom_site_fract_x
_atom_site_fract_y
_atom_site_fract_z
_atom_site_occupancy
K1 K 0.1998 0.0000 0.3951 1
Tm1 Tm 0.2059 0.2605 0.9112 1
Se1 Se 0.1458 0.4997 0.2816 1
O1 O 0.0000 0.0113 0.0000 1
O2 O 0.0000 0.5119 0.0000 1
```



[6]
# Lu4NiSbC2
Theoretical powder diffraction line list, Cu Kα. Input: DFT lattice parameters and positions (PBE).
Lines closer than 0.1° are merged.

The 8 most intense peaks (2θ = 10–90°), in order of falling intensity:
| 2θ (°) | I (rel.) |
| --- | --- |
| 35.0 | 100 |
| 29.1 | 29 |
| 51.5 | 27 |
| 63.9 | 17 |
| 86.4 | 16 |
| 61.2 | 14 |
| 66.3 | 12 |
| 31.8 | 10 |

Structure:
```
data_Lu4NiSbC2
_cell_length_a 3.5461
_cell_length_b 3.5461
_cell_length_c 13.9253
_cell_angle_alpha 90.00
_cell_angle_beta 90.00
_cell_angle_gamma 120.00
_symmetry_space_group_name_H-M 'P -6 m 2'
_symmetry_Int_Tables_number 187
_symmetry_space_group_name_Hall 'P -6 2'
loop_
_atom_site_label
_atom_site_type_symbol
_atom_site_fract_x
_atom_site_fract_y
_atom_site_fract_z
_atom_site_occupancy
Lu1 Lu 0.0000 0.0000 0.1359 1
Lu2 Lu 0.6667 0.3333 0.3215 1
Ni1 Ni 0.6667 0.3333 0.0000 1
Sb1 Sb 0.0000 0.0000 0.5000 1
C1 C 0.3333 0.6667 0.2331 1
```



[7]
# ZnTePO
Theoretical powder diffraction line list, Cu Kα. Input: DFT lattice parameters and positions (PBE).
Lines closer than 0.1° are merged.

The 8 most intense peaks (2θ = 10–90°), in order of falling intensity:
| 2θ (°) | I (rel.) |
| --- | --- |
| 29.8 | 100 |
| 31.4 | 54 |
| 30.6 | 45 |
| 40.7 | 41 |
| 21.8 | 27 |
| 44.5 | 27 |
| 52.3 | 24 |
| 49.2 | 23 |

Structure:
```
data_ZnTePO
_cell_length_a 4.4328
_cell_length_b 5.8344
_cell_length_c 5.6896
_cell_angle_alpha 90.00
_cell_angle_beta 90.00
_cell_angle_gamma 90.00
_symmetry_space_group_name_H-M 'P m c 21'
_symmetry_Int_Tables_number 26
loop_
_symmetry_equiv_pos_as_xyz
'x,y,z'
'-x,-y,z+1/2'
'-x,y,z'
'x,-y,z+1/2'
loop_
_atom_site_label
_atom_site_type_symbol
_atom_site_fract_x
_atom_site_fract_y
_atom_site_fract_z
_atom_site_occupancy
Zn1 Zn 0.0000 0.1539 0.0000 1
Te1 Te 0.5000 0.2597 0.4151 1
P1 P 0.5000 0.2881 0.9137 1
O1 O 0.0000 0.1765 0.3690 1
```



[8]
# ZrH3
Theoretical powder diffraction line list, Cu Kα. Input: DFT lattice parameters and positions (PBE).
Lines closer than 0.1° are merged.

The 8 most intense peaks (2θ = 10–90°), in order of falling intensity:
| 2θ (°) | I (rel.) |
| --- | --- |
| 33.9 | 100 |
| 30.3 | 55 |
| 62.9 | 25 |
| 56.2 | 24 |
| 53.7 | 19 |
| 43.4 | 16 |
| 65.1 | 15 |
| 89.2 | 13 |

Structure:
```
data_ZrH3
_cell_length_a 5.9111
_cell_length_b 5.9111
_cell_length_c 17.6762
_cell_angle_alpha 90.00
_cell_angle_beta 90.00
_cell_angle_gamma 120.00
_symmetry_space_group_name_H-M 'R -3'
_symmetry_Int_Tables_number 148
_symmetry_space_group_name_Hall '-R 3'
loop_
_atom_site_label
_atom_site_type_symbol
_atom_site_fract_x
_atom_site_fract_y
_atom_site_fract_z
_atom_site_occupancy
Zr1 Zr 0.0011 0.6654 0.4159 1
H1 H 0.0000 0.0000 0.0988 1
H2 H 0.0000 0.0000 0.2703 1
H3 H 0.0000 0.0000 0.4288 1
H4 H 0.0078 0.6565 0.3008 1
H5 H 0.0082 0.6972 0.1982 1
```



[9]
# KNi5Se8
Theoretical powder diffraction line list, Cu Kα. Input: DFT lattice parameters and positions (PBE).
Lines closer than 0.1° are merged.

The 8 most intense peaks (2θ = 10–90°), in order of falling intensity:
| 2θ (°) | I (rel.) |
| --- | --- |
| 32.5 | 100 |
| 51.1 | 64 |
| 33.9 | 64 |
| 11.0 | 63 |
| 50.4 | 52 |
| 32.2 | 47 |
| 12.6 | 39 |
| 48.0 | 34 |

Structure:
```
data_KNi5Se8
_cell_length_a 18.5043
_cell_length_b 3.6208
_cell_length_c 8.3860
_cell_angle_alpha 90.00
_cell_angle_beta 106.07
_cell_angle_gamma 90.00
_symmetry_space_group_name_H-M 'C 1 2/m 1'
_symmetry_Int_Tables_number 12
loop_
_symmetry_equiv_pos_as_xyz
'x,y,z'
'-x,-y,-z'
'-x,y,-z'
'x,-y,z'
'x+1/2,y+1/2,z'
'-x+1/2,-y+1/2,-z'
'-x+1/2,y+1/2,-z'
'x+1/2,-y+1/2,z'
loop_
_atom_site_label
_atom_site_type_symbol
_atom_site_fract_x
_atom_site_fract_y
_atom_site_fract_z
_atom_site_occupancy
K1 K 0.0000 0.0000 0.0000 1
Ni1 Ni 0.0000 0.5000 0.5000 1
Ni2 Ni 0.1610 0.0000 0.4931 1
Ni3 Ni 0.2041 0.0000 0.8236 1
Se1 Se 0.0697 0.0000 0.6650 1
Se2 Se 0.0885 0.5000 0.3404 1
Se3 Se 0.1728 0.5000 0.9840 1
Se4 Se 0.2410 0.5000 0.6546 1
```



[10]
# TbTlCdSe3
Theoretical powder diffraction line list, Cu Kα. Input: DFT lattice parameters and positions (PBE).
Lines closer than 0.1° are merged.

The 8 most intense peaks (2θ = 10–90°), in order of falling intensity:
| 2θ (°) | I (rel.) |
| --- | --- |
| 30.4 | 100 |
| 32.2 | 53 |
| 28.9 | 51 |
| 25.2 | 44 |
| 42.8 | 44 |
| 22.7 | 40 |
| 41.9 | 39 |
| 35.8 | 32 |

Structure:
```
data_TbTlCdSe3
_cell_length_a 12.3362
_cell_length_b 4.3081
_cell_length_c 12.7545
_cell_angle_alpha 90.00
_cell_angle_beta 90.00
_cell_angle_gamma 90.00
_symmetry_space_group_name_H-M 'P n m a'
_symmetry_Int_Tables_number 62
loop_
_symmetry_equiv_pos_as_xyz
'x,y,z'
'-x,-y,-z'
'-x+1/2,-y,z+1/2'
'x+1/2,y,-z+1/2'
'x+1/2,-y+1/2,-z+1/2'
'-x+1/2,y+1/2,z+1/2'
'-x,y+1/2,-z'
'x,-y+1/2,z'
loop_
_atom_site_label
_atom_site_type_symbol
_atom_site_fract_x
_atom_site_fract_y
_atom_site_fract_z
_atom_site_occupancy
Tb1 Tb 0.0314 0.2500 0.1668 1
Tl1 Tl 0.1539 0.2500 0.5031 1
Cd1 Cd 0.2499 0.2500 0.7989 1
Se1 Se 0.0344 0.7500 0.3258 1
Se2 Se 0.0898 0.2500 0.9361 1
Se3 Se 0.2359 0.7500 0.6732 1
```



[11]
# Ta4Ge5Pt5
Theoretical powder diffraction line list, Cu Kα. Input: DFT lattice parameters and positions (PBE).
Lines closer than 0.1° are merged.

The 8 most intense peaks (2θ = 10–90°), in order of falling intensity:
| 2θ (°) | I (rel.) |
| --- | --- |
| 42.3 | 100 |
| 25.5 | 94 |
| 42.4 | 48 |
| 77.5 | 31 |
| 50.1 | 30 |
| 50.0 | 16 |
| 77.2 | 16 |
| 61.5 | 16 |

Structure:
```
data_Ta4Ge5Pt5
_cell_length_a 9.5380
_cell_length_b 9.5380
_cell_length_c 6.0607
_cell_angle_alpha 90.00
_cell_angle_beta 90.00
_cell_angle_gamma 90.00
_symmetry_space_group_name_H-M 'I -4'
_symmetry_Int_Tables_number 82
loop_
_symmetry_equiv_pos_as_xyz
'x,y,z'
'y,-x,-z'
'-x,-y,z'
'-y,x,-z'
'x+1/2,y+1/2,z+1/2'
'y+1/2,-x+1/2,-z+1/2'
'-x+1/2,-y+1/2,z+1/2'
'-y+1/2,x+1/2,-z+1/2'
loop_
_atom_site_label
_atom_site_type_symbol
_atom_site_fract_x
_atom_site_fract_y
_atom_site_fract_z
_atom_site_occupancy
Ta1 Ta 0.0994 0.2000 0.2500 1
Ge1 Ge 0.0000 0.5000 0.2500 1
Ge2 Ge 0.0914 0.2165 0.7548 1
Pt1 Pt 0.0000 0.0000 0.0000 1
Pt2 Pt 0.1054 0.7112 0.4847 1
```



[12]
# CdCuSiAgSe4
Theoretical powder diffraction line list, Cu Kα. Input: DFT lattice parameters and positions (PBE).
Lines closer than 0.1° are merged.

The 8 most intense peaks (2θ = 10–90°), in order of falling intensity:
| 2θ (°) | I (rel.) |
| --- | --- |
| 26.6 | 100 |
| 44.3 | 47 |
| 51.9 | 26 |
| 43.7 | 22 |
| 52.9 | 14 |
| 35.1 | 13 |
| 80.7 | 11 |
| 70.9 | 10 |

Structure:
```
data_CdCuSiAgSe4
_cell_length_a 5.8601
_cell_length_b 5.8601
_cell_length_c 11.4355
_cell_angle_alpha 90.00
_cell_angle_beta 90.00
_cell_angle_gamma 90.00
_symmetry_space_group_name_H-M 'I -4'
_symmetry_Int_Tables_number 82
loop_
_symmetry_equiv_pos_as_xyz
'x,y,z'
'y,-x,-z'
'-x,-y,z'
'-y,x,-z'
'x+1/2,y+1/2,z+1/2'
'y+1/2,-x+1/2,-z+1/2'
'-x+1/2,-y+1/2,z+1/2'
'-y+1/2,x+1/2,-z+1/2'
loop_
_atom_site_label
_atom_site_type_symbol
_atom_site_fract_x
_atom_site_fract_y
_atom_site_fract_z
_atom_site_occupancy
Cd1 Cd 0.0000 0.0000 0.0000 1
Cu1 Cu 0.0000 0.5000 0.7500 1
Si1 Si 0.0000 0.0000 0.5000 1
Ag1 Ag 0.0000 0.5000 0.2500 1
Se1 Se 0.2060 0.7621 0.6242 1
```